Theoretical PXRD pattern of Sr3InGa for Cu Kα X-rays, from the PBE geometry in Alexandria.
Intensities are scaled so that the largest is 100.

Structural model:
```
Sr3InGa
1.0
2.8500 -11.1971 0.0000
2.8500 11.1971 0.0000
0.0000 0.0000 5.6954
Sr In Ga
6 2 2
direct
0.0750 0.9250 0.7500
0.2499 0.7501 0.7500
0.4246 0.5754 0.7500
0.5754 0.4246 0.2500
0.7501 0.2499 0.2500
0.9250 0.0750 0.2500
0.1594 0.8406 0.2500
0.8406 0.1594 0.7500
0.3425 0.6575 0.2500
0.6575 0.3425 0.7500
```

Main lines, in order of rising 2θ (10° ≤ 2θ ≤ 90°):
d = 2.995 Å, rel. 100; d = 2.849 Å, rel. 58; d = 2.505 Å, rel. 22; d = 2.014 Å, rel. 21; d = 1.761 Å, rel. 8; d = 1.672 Å, rel. 35; d = 1.570 Å, rel. 10; d = 1.561 Å, rel. 13; d = 1.369 Å, rel. 9; d = 1.286 Å, rel. 7; d = 1.274 Å, rel. 9; d = 1.252 Å, rel. 9